This entry pairs a crystal structure of KHg6Au3 with its calculated X-ray powder pattern. Radiation: Cu Kα. Structure: a GGA-PBE-relaxed structure.

Structure:
```
KHg6Au3
1.0
6.7668 0.0000 0.0000
-2.5016 6.3007 0.0000
-2.2063 -3.0100 6.1279
K Hg Au
1 6 3
Direct
0.0000 0.0000 0.0000
0.0057 0.5419 0.2853
0.3853 0.8332 0.7943
0.4719 0.3824 0.9090
0.5013 0.5247 0.4773
0.8882 0.9503 0.4440
0.9002 0.3897 0.7515
0.3558 0.6942 0.1390
0.3656 0.0521 0.4942
0.6282 0.1808 0.2617
```

Largest 6 diffraction maxima, in order of rising 2θ, 2θ = 10–90°:
| Position (°2θ) | intensity | hkl |
| --- | --- | --- |
| 15.84 | 80 | 1 0 0 |
| 31.99 | 100 | 2 0 0 |
| 32.25 | 51 | 0 2 -2 |
| 33.66 | 74 | 1 -1 2 |
| 37.18 | 54 | 1 2 -2 |
| 39.97 | 52 | 1 -3 1 |